# 1
Simulated powder diffraction line list of Pm12ZnRu6 for a wavelength of 1.5418 Å, from a structure optimized by DFT (PBE).
Kinematic intensities with the Lorentz-polarization factor, no thermal factor.

Peak list (12 most intense, 2θ from 15° to 90°, in order of rising 2θ)
2θ/deg	d [Å]	I/Imax
28.0	3.183	14.6
30.8	2.906	43.6
33.3	2.690	100.0
35.7	2.516	21.4
37.9	2.372	10.7
46.0	1.974	25.5
53.1	1.726	24.9
54.7	1.678	13.7
56.3	1.633	29.7
65.6	1.423	19.5
81.1	1.186	12.1
82.4	1.170	17.3

Structure:
Cell lengths 8.7168, 8.7168, 8.7168 Å; angles 109.47, 109.47, 109.47 degrees
Element x y z (fractional)
Pm (0.1004, 0.2971, 0.8034)
Pm (0.1966, 0.4937, 0.2971)
Pm (0.1966, 0.8996, 0.7029)
Pm (0.2971, 0.1966, 0.4937)
Pm (0.2971, 0.8034, 0.1004)
Pm (0.4937, 0.2971, 0.1966)
Pm (0.5063, 0.7029, 0.8034)
Pm (0.7029, 0.1966, 0.8996)
Pm (0.7029, 0.8034, 0.5063)
Pm (0.8034, 0.1004, 0.2971)
Pm (0.8034, 0.5063, 0.7029)
Pm (0.8996, 0.7029, 0.1966)
Zn (0.0000, 0.0000, 0.0000)
Ru (0.1221, 0.5000, 0.6221)
Ru (0.3779, 0.8779, 0.5000)
Ru (0.5000, 0.3779, 0.8779)
Ru (0.5000, 0.6221, 0.1221)
Ru (0.6221, 0.1221, 0.5000)
Ru (0.8779, 0.5000, 0.3779)

***

# 2
Simulated powder diffraction line list of Pm4Zn5Ru2 for a wavelength of 1.5418 Å, from a structure optimized by DFT (PBE).
Kinematic intensities with the Lorentz-polarization factor, no thermal factor.

Peak list (12 most intense, 2θ from 15° to 90°, in order of rising 2θ)
2θ/deg	d [Å]	I/Imax
32.2	2.780	94.5
33.5	2.675	100.0
34.2	2.625	83.9
36.3	2.478	33.9
37.9	2.375	50.0
38.7	2.324	38.7
39.0	2.309	29.4
41.4	2.180	37.1
41.5	2.174	30.5
45.8	1.979	50.4
59.3	1.558	35.1
63.5	1.465	37.1

Structure:
Cell lengths 7.0391, 3.9586, 8.9348 Å; angles 90.00, 94.67, 90.00 degrees
Element x y z (fractional)
Pm (0.1814, 0.0000, 0.3601)
Pm (0.2427, 0.0000, 0.9367)
Pm (0.7573, 0.0000, 0.0633)
Pm (0.8186, 0.0000, 0.6399)
Zn (0.1986, 0.5000, 0.6566)
Zn (0.4397, 0.5000, 0.1900)
Zn (0.5000, 0.5000, 0.5000)
Zn (0.5603, 0.5000, 0.8100)
Zn (0.8014, 0.5000, 0.3434)
Ru (0.0614, 0.5000, 0.1461)
Ru (0.9386, 0.5000, 0.8539)

***

# 3
Simulated powder diffraction line list of Pm2Zn17Ru3 for a wavelength of 1.5418 Å, from a structure optimized by DFT (PBE).
Kinematic intensities with the Lorentz-polarization factor, no thermal factor.

Peak list (12 most intense, 2θ from 15° to 90°, in order of rising 2θ)
2θ/deg	d [Å]	I/Imax
30.8	2.905	58.2
31.3	2.858	35.8
31.7	2.826	43.7
39.3	2.291	60.0
39.9	2.258	73.8
40.3	2.237	100.0
40.6	2.223	51.0
41.1	2.195	74.9
42.2	2.141	44.9
42.5	2.129	88.7
43.2	2.096	41.8
44.1	2.053	51.2

Structure:
Cell lengths 5.1334, 8.5759, 8.8166 Å; angles 93.40, 93.59, 95.54 degrees
Element x y z (fractional)
Pm (0.2291, 0.2143, 0.2294)
Pm (0.7709, 0.7857, 0.7706)
Zn (0.0000, 0.0000, 0.5000)
Zn (0.0000, 0.5000, 0.0000)
Zn (0.1858, 0.2557, 0.8836)
Zn (0.2150, 0.7345, 0.5275)
Zn (0.2191, 0.5284, 0.7353)
Zn (0.2900, 0.6027, 0.2480)
Zn (0.2920, 0.2456, 0.5948)
Zn (0.3082, 0.7810, 0.9978)
Zn (0.3143, 0.9960, 0.7713)
Zn (0.5000, 0.5000, 0.5000)
Zn (0.6857, 0.0040, 0.2287)
Zn (0.6918, 0.2190, 0.0022)
Zn (0.7080, 0.7544, 0.4052)
Zn (0.7100, 0.3973, 0.7520)
Zn (0.7809, 0.4716, 0.2647)
Zn (0.7850, 0.2655, 0.4725)
Zn (0.8142, 0.7443, 0.1164)
Ru (0.0000, 0.0000, 0.0000)
Ru (0.5000, 0.0000, 0.5000)
Ru (0.5000, 0.5000, 0.0000)

***

What is the formula in the first record? Pm12ZnRu6